(1)
For Sr2SnO4, a cell relaxed with PBE gives the calculated X-ray powder pattern in this record (CuKα).
Neutral-atom scattering factors, no anomalous dispersion.

Atomic structure:
Lattice parameters (Å, degrees): 5.818 5.884 12.635 90.00 90.00 90.00
Space group Pccn (No. 56)
Asymmetric unit:
Sr: 0.008 0.012 0.147
Sn: 0.000 0.000 0.500
O: 0.012 0.049 0.663
O: 0.250 0.250 0.478
O: 0.250 0.750 0.014

Largest 10 diffraction maxima, in order of rising 2θ, 2θ from 10° to 80°:
- hkl 0 0 2, 2θ 14.02, d = 6.318 Å, intensity 15
- hkl 0 2 0, 2θ 30.31, d = 2.949 Å, intensity 100
- hkl 2 0 0, 2θ 30.74, d = 2.909 Å, intensity 25
- hkl 1 1 5, 2θ 41.90, d = 2.156 Å, intensity 12
- hkl 0 0 6, 2θ 42.95, d = 2.106 Å, intensity 11
- hkl 2 2 0, 2θ 43.76, d = 2.069 Å, intensity 27
- hkl 2 0 6, 2θ 53.74, d = 1.706 Å, intensity 8
- hkl 1 3 3, 2θ 53.92, d = 1.700 Å, intensity 16
- hkl 3 1 3, 2θ 54.37, d = 1.688 Å, intensity 15
- hkl 2 2 6, 2θ 62.99, d = 1.476 Å, intensity 12

***

(2)
For SrZrTiSnO6, a cell relaxed with PBE gives the calculated X-ray powder pattern in this record (CuKα).
Neutral-atom scattering factors, no anomalous dispersion.

Atomic structure:
Lattice parameters (Å, degrees): 8.138 8.138 8.138 90.00 90.00 90.00
Space group F-43m (No. 216)
Asymmetric unit:
Sr: 0.000 0.000 0.000
Zr: 0.250 0.250 0.750
Ti: 0.250 0.250 0.250
Sn: 0.000 0.000 0.500
O: 0.008 0.250 0.250

Largest 10 diffraction maxima, in order of rising 2θ, 2θ from 10° to 80°:
- hkl 1 1 1, 2θ 18.89, d = 4.698 Å, intensity 6
- hkl 2 2 0, 2θ 31.08, d = 2.877 Å, intensity 100
- hkl 3 1 1, 2θ 36.63, d = 2.454 Å, intensity 4
- hkl 2 2 2, 2θ 38.32, d = 2.349 Å, intensity 11
- hkl 4 0 0, 2θ 44.54, d = 2.034 Å, intensity 36
- hkl 3 3 1, 2θ 48.78, d = 1.867 Å, intensity 2
- hkl 4 2 2, 2θ 55.30, d = 1.661 Å, intensity 40
- hkl 4 4 0, 2θ 64.81, d = 1.439 Å, intensity 21
- hkl 6 2 0, 2θ 73.62, d = 1.287 Å, intensity 17
- hkl 6 2 2, 2θ 77.86, d = 1.227 Å, intensity 3

***

(3)
For Sr2YSn2O7, a cell relaxed with PBE gives the calculated X-ray powder pattern in this record (CuKα).
Neutral-atom scattering factors, no anomalous dispersion.

Atomic structure:
Lattice parameters (Å, degrees): 27.698 5.489 5.688 90.00 90.00 90.00
Space group Ima2 (No. 46)
Asymmetric unit:
Sr: 0.189 0.086 0.000
Y: 0.000 0.000 0.017
Sn: 0.080 0.502 0.017
O: 0.050 0.749 0.766
O: 0.052 0.249 0.768
O: 0.152 0.005 0.523
O: 0.250 0.238 0.256

Largest 10 diffraction maxima, in order of rising 2θ, 2θ from 10° to 80°:
- hkl 1 1 0, 2θ 16.46, d = 5.384 Å, intensity 14
- hkl 2 1 1, 2θ 23.42, d = 3.798 Å, intensity 20
- hkl 8 0 0, 2θ 25.73, d = 3.462 Å, intensity 16
- hkl 4 1 1, 2θ 25.97, d = 3.431 Å, intensity 48
- hkl 6 1 1, 2θ 29.77, d = 3.001 Å, intensity 100
- hkl 0 0 2, 2θ 31.46, d = 2.844 Å, intensity 28
- hkl 0 2 0, 2θ 32.63, d = 2.744 Å, intensity 16
- hkl 0 2 2, 2θ 45.95, d = 1.975 Å, intensity 27
- hkl 12 2 0, 2θ 51.72, d = 1.767 Å, intensity 13
- hkl 6 1 3, 2θ 54.96, d = 1.671 Å, intensity 18

***

(4)
For Sr2Y2Sn2O7, a cell relaxed with PBE gives the calculated X-ray powder pattern in this record (CuKα).
Neutral-atom scattering factors, no anomalous dispersion.

Atomic structure:
Lattice parameters (Å, degrees): 21.896 6.905 6.403 90.00 90.00 90.00
Space group Ima2 (No. 46)
Asymmetric unit:
Sr: 0.154 0.078 0.000
Y: 0.000 0.000 0.958
Y: 0.250 0.600 0.017
Sn: 0.075 0.528 0.952
O: 0.068 0.123 0.748
O: 0.081 0.688 0.562
O: 0.175 0.067 0.409
O: 0.250 0.611 0.365

Largest 10 diffraction maxima, in order of rising 2θ, 2θ from 10° to 80°:
- hkl 5 1 0, 2θ 24.06, d = 3.698 Å, intensity 15
- hkl 0 2 0, 2θ 25.81, d = 3.452 Å, intensity 36
- hkl 0 0 2, 2θ 27.87, d = 3.202 Å, intensity 49
- hkl 1 2 1, 2θ 29.68, d = 3.010 Å, intensity 20
- hkl 6 1 1, 2θ 31.04, d = 2.881 Å, intensity 100
- hkl 8 1 1, 2θ 38.06, d = 2.365 Å, intensity 17
- hkl 0 2 2, 2θ 38.34, d = 2.347 Å, intensity 24
- hkl 5 3 0, 2θ 44.46, d = 2.038 Å, intensity 13
- hkl 6 1 3, 2θ 51.32, d = 1.780 Å, intensity 25
- hkl 5 3 2, 2θ 53.30, d = 1.719 Å, intensity 12

***

(5)
For SrZr2SnO6, a cell relaxed with PBE gives the calculated X-ray powder pattern in this record (CuKα).
Neutral-atom scattering factors, no anomalous dispersion.

Atomic structure:
Lattice parameters (Å, degrees): 8.165 8.290 4.233 90.00 90.00 90.00
Space group Cmmm (No. 65)
Asymmetric unit:
Sr: 0.000 0.000 0.000
Zr: 0.250 0.250 0.500
Sn: 0.000 0.500 0.000
O: 0.000 0.185 0.500
O: 0.187 0.500 0.500
O: 0.250 0.250 0.000

Largest 10 diffraction maxima, in order of rising 2θ, 2θ from 10° to 80°:
- hkl 0 2 1, 2θ 30.18, d = 2.962 Å, intensity 88
- hkl 2 0 1, 2θ 30.42, d = 2.939 Å, intensity 87
- hkl 2 2 0, 2θ 30.74, d = 2.909 Å, intensity 100
- hkl 0 0 2, 2θ 42.72, d = 2.117 Å, intensity 33
- hkl 0 4 0, 2θ 43.68, d = 2.072 Å, intensity 27
- hkl 4 0 0, 2θ 44.38, d = 2.041 Å, intensity 26
- hkl 2 2 2, 2θ 53.55, d = 1.711 Å, intensity 42
- hkl 2 4 1, 2θ 54.15, d = 1.694 Å, intensity 41
- hkl 4 2 1, 2θ 54.60, d = 1.681 Å, intensity 40
- hkl 0 4 2, 2θ 62.75, d = 1.481 Å, intensity 17

***

(6)
For SrZr2SnO6, a cell relaxed with PBE gives the calculated X-ray powder pattern in this record (CuKα).
Neutral-atom scattering factors, no anomalous dispersion.

Atomic structure:
Lattice parameters (Å, degrees): 4.194 4.194 8.395 90.00 90.00 90.00
Space group P4/mmm (No. 123)
Asymmetric unit:
Sr: 0.000 0.000 0.000
Zr: 0.500 0.500 0.251
Sn: 0.000 0.000 0.500
O: 0.000 0.500 0.245
O: 0.500 0.500 0.000
O: 0.500 0.500 0.500

Largest 10 diffraction maxima, in order of rising 2θ, 2θ from 10° to 80°:
- hkl 0 0 1, 2θ 10.54, d = 8.395 Å, intensity 1
- hkl 1 0 1, 2θ 23.71, d = 3.752 Å, intensity 1
- hkl 1 1 0, 2θ 30.12, d = 2.967 Å, intensity 100
- hkl 1 1 2, 2θ 37.12, d = 2.422 Å, intensity 4
- hkl 2 0 0, 2θ 43.12, d = 2.098 Å, intensity 34
- hkl 2 1 2, 2θ 53.50, d = 1.713 Å, intensity 41
- hkl 2 2 0, 2θ 62.63, d = 1.483 Å, intensity 21
- hkl 3 1 0, 2θ 71.05, d = 1.327 Å, intensity 18
- hkl 3 1 2, 2θ 75.10, d = 1.265 Å, intensity 1
- hkl 2 2 4, 2θ 79.07, d = 1.211 Å, intensity 7

***

(7)
For Ta4SnO12, a cell relaxed with PBE gives the calculated X-ray powder pattern in this record (CuKα).
Neutral-atom scattering factors, no anomalous dispersion.

Atomic structure:
Lattice parameters (Å, degrees): 5.040 5.566 9.202 97.47 104.46 90.12
Space group P1 (No. 1)
Asymmetric unit:
Ta: 0.000 0.000 0.000
Ta: 0.134 0.718 0.309
Ta: 0.494 0.504 0.000
Ta: 0.637 0.218 0.302
Sn: 0.537 0.101 0.654
O: 0.172 0.271 0.962
O: 0.276 0.025 0.219
O: 0.282 0.771 0.952
O: 0.337 0.829 0.512
O: 0.419 0.528 0.220
O: 0.513 0.386 0.800
O: 0.597 0.299 0.503
O: 0.717 0.192 0.085
O: 0.780 0.917 0.796
O: 0.847 0.948 0.345
O: 0.859 0.692 0.086
O: 0.961 0.451 0.351

Largest 10 diffraction maxima, in order of rising 2θ, 2θ from 10° to 80°:
- hkl 0 0 1, 2θ 10.02, d = 8.829 Å, intensity 100
- hkl 1 1 0, 2θ 24.80, d = 3.590 Å, intensity 50
- hkl -1 1 1, 2θ 25.01, d = 3.560 Å, intensity 54
- hkl 1 -1 1, 2θ 26.93, d = 3.311 Å, intensity 26
- hkl 1 1 -2, 2θ 27.40, d = 3.255 Å, intensity 30
- hkl 1 1 1, 2θ 29.30, d = 3.048 Å, intensity 30
- hkl -1 1 2, 2θ 29.79, d = 2.999 Å, intensity 25
- hkl 0 0 3, 2θ 30.37, d = 2.943 Å, intensity 42
- hkl 1 -1 2, 2θ 33.02, d = 2.713 Å, intensity 21
- hkl 0 2 -2, 2θ 36.00, d = 2.495 Å, intensity 20

***

(8)
For Ta2Sn2O7, a cell relaxed with PBE gives the calculated X-ray powder pattern in this record (CuKα).
Neutral-atom scattering factors, no anomalous dispersion.

Atomic structure:
Lattice parameters (Å, degrees): 10.729 10.729 10.729 90.00 90.00 90.00
Space group Fd-3m (No. 227, origin choice 2)
Asymmetric unit:
Ta: 0.000 0.000 0.000
Sn: 0.000 0.000 0.500
O: 0.062 0.375 0.375
O: 0.125 0.125 0.625

Largest 10 diffraction maxima, in order of rising 2θ, 2θ from 10° to 80°:
- hkl 1 1 1, 2θ 14.30, d = 6.194 Å, intensity 8
- hkl 3 1 1, 2θ 27.58, d = 3.235 Å, intensity 5
- hkl 2 2 2, 2θ 28.83, d = 3.097 Å, intensity 100
- hkl 4 0 0, 2θ 33.41, d = 2.682 Å, intensity 38
- hkl 4 4 0, 2θ 47.97, d = 1.897 Å, intensity 44
- hkl 6 2 2, 2θ 56.93, d = 1.617 Å, intensity 46
- hkl 4 4 4, 2θ 59.71, d = 1.549 Å, intensity 13
- hkl 8 0 0, 2θ 70.18, d = 1.341 Å, intensity 7
- hkl 6 6 2, 2θ 77.58, d = 1.231 Å, intensity 19
- hkl 8 4 0, 2θ 79.99, d = 1.199 Å, intensity 17